Record 1
Tm2Ge2Au: theoretical powder diffraction line list (Cu Kα (weighted mean of Kα1 and Kα2)), based on DFT lattice parameters and positions (GGA-PBE).
No peak broadening, texture or thermal motion is included.

a = 7.022 Å, b = 7.022 Å, c = 4.224 Å
α = 90.00°, β = 90.00°, γ = 90.00°
Space group P4/mbm (No. 127)
Unique sites:
Tm1 0.175 0.325 0.000 x4
Ge1 0.128 0.628 0.500 x4
Au1 0.000 0.000 0.500 x2

The 12 most intense peaks (2θ = 10–80°), by angle:
| 2theta | d/Å | Rel. int. | (hkl) |
| --- | --- | --- | --- |
| 27.7 | 3.217 | 29.4 | 1 1 1 |
| 28.4 | 3.140 | 13.0 | 2 1 0 |
| 33.2 | 2.700 | 73.8 | 2 0 1 |
| 35.6 | 2.520 | 100.0 | 2 1 1 |
| 36.2 | 2.483 | 19.1 | 2 2 0 |
| 40.6 | 2.221 | 51.9 | 3 1 0 |
| 42.8 | 2.112 | 28.6 | 0 0 2 |
| 58.4 | 1.580 | 16.7 | 4 1 1 |
| 60.0 | 1.541 | 17.9 | 3 3 1 |
| 60.5 | 1.530 | 32.3 | 3 1 2 |
| 72.1 | 1.309 | 14.5 | 5 1 1 |
| 73.7 | 1.285 | 12.0 | 2 1 3 |

---

Record 2
Nd2Mg3Zn3: theoretical powder diffraction line list (Cu Kα (weighted mean of Kα1 and Kα2)), based on DFT lattice parameters and positions (GGA-PBE).
No peak broadening, texture or thermal motion is included.

a = 4.9990 Å, b = 4.9990 Å, c = 24.5628 Å
α = 90.00°, β = 90.00°, γ = 120.00°
Space group R3m (No. 160, hexagonal axes)
Unique sites:
Nd1 0.0000 0.0000 0.0000 x3
Nd2 0.0000 0.0000 0.4891 x3
Mg1 0.0000 0.0000 0.2411 x3
Mg2 0.0000 0.0000 0.6177 x3
Mg3 0.0000 0.0000 0.7464 x3
Zn1 0.0000 0.0000 0.1211 x3
Zn2 0.0000 0.0000 0.3646 x3
Zn3 0.0000 0.0000 0.8738 x3

The 12 most intense peaks (2θ = 10–80°), by angle:
| 2theta | d/Å | Rel. int. | (hkl) |
| --- | --- | --- | --- |
| 21.8 | 4.086 | 41.3 | 0 0 6 |
| 25.2 | 3.538 | 3.6 | 1 0 4 |
| 35.9 | 2.502 | 100.0 | 1 1 0 |
| 42.4 | 2.134 | 21.1 | 1 1 6 |
| 51.7 | 1.769 | 16.8 | 2 0 8 |
| 56.6 | 1.625 | 3.9 | 0 1 14 |
| 56.8 | 1.622 | 4.7 | 1 2 2 |
| 64.4 | 1.447 | 7.2 | 1 0 16 |
| 64.6 | 1.444 | 25.7 | 3 0 0 |
| 69.0 | 1.361 | 4.8 | 3 0 6 |
| 76.0 | 1.252 | 4.3 | 0 2 16 |
| 76.2 | 1.250 | 5.4 | 2 2 0 |

---

Record 3
KTcMo2: theoretical powder diffraction line list (Cu Kα (weighted mean of Kα1 and Kα2)), based on DFT lattice parameters and positions (GGA-PBE).
No peak broadening, texture or thermal motion is included.

a = 2.921 Å, b = 3.946 Å, c = 8.096 Å
α = 90.00°, β = 95.62°, γ = 90.00°
Space group P2/m (No. 10)
Unique sites:
K1 0.000 0.000 0.000 x1
Tc1 0.000 0.000 0.500 x1
Mo1 0.463 0.500 0.644 x2

The 12 most intense peaks (2θ = 10–80°), by angle:
| 2theta | d/Å | Rel. int. | (hkl) |
| --- | --- | --- | --- |
| 11.0 | 8.057 | 100.0 | 0 0 1 |
| 22.1 | 4.029 | 6.1 | 0 0 2 |
| 31.7 | 2.819 | 17.6 | 0 1 2 |
| 36.3 | 2.475 | 9.0 | 1 0 -2 |
| 38.5 | 2.340 | 32.2 | 1 1 0 |
| 39.2 | 2.297 | 5.7 | 1 1 -1 |
| 40.6 | 2.220 | 14.2 | 0 1 3 |
| 41.0 | 2.201 | 11.2 | 1 1 1 |
| 43.6 | 2.077 | 6.5 | 1 0 -3 |
| 46.0 | 1.973 | 9.8 | 0 2 0 |
| 47.4 | 1.917 | 5.3 | 0 2 1 |
| 50.9 | 1.794 | 12.6 | 0 1 4 |

---

Record 4
K2S5: theoretical powder diffraction line list (Cu Kα (weighted mean of Kα1 and Kα2)), based on DFT lattice parameters and positions (GGA-PBE).
No peak broadening, texture or thermal motion is included.

a = 6.576 Å, b = 6.612 Å, c = 18.758 Å
α = 90.00°, β = 90.00°, γ = 90.00°
Space group P2_12_12_1 (No. 19)
Unique sites:
K1 0.063 0.155 0.071 x4
K2 0.175 0.606 0.760 x4
S1 0.047 0.311 0.564 x4
S2 0.068 0.301 0.901 x4
S3 0.148 0.004 0.881 x4
S4 0.166 0.839 0.206 x4
S5 0.167 0.677 0.112 x4

The 12 most intense peaks (2θ = 10–80°), by angle:
| 2theta | d/Å | Rel. int. | (hkl) |
| --- | --- | --- | --- |
| 19.6 | 4.529 | 52.8 | 1 1 1 |
| 23.8 | 3.738 | 19.0 | 1 1 3 |
| 27.0 | 3.306 | 42.1 | 1 1 4 |
| 27.5 | 3.239 | 34.1 | 2 0 1 |
| 28.6 | 3.126 | 50.4 | 0 0 6 |
| 28.8 | 3.103 | 25.7 | 2 0 2 |
| 30.6 | 2.922 | 100.0 | 0 2 3 |
| 30.7 | 2.910 | 27.4 | 2 0 3 |
| 31.7 | 2.826 | 20.3 | 0 1 6 |
| 31.8 | 2.812 | 50.6 | 2 1 2 |
| 34.5 | 2.597 | 17.2 | 1 1 6 |
| 38.9 | 2.315 | 28.1 | 2 1 5 |

---

Record 5
Rh4Au5: theoretical powder diffraction line list (Cu Kα (weighted mean of Kα1 and Kα2)), based on DFT lattice parameters and positions (GGA-PBE).
No peak broadening, texture or thermal motion is included.

a = 8.595 Å, b = 8.595 Å, c = 3.985 Å
α = 90.00°, β = 90.00°, γ = 90.00°
Space group I4/mmm (No. 139)
Unique sites:
Rh1 0.000 0.349 0.000 x8
Au1 0.000 0.000 0.000 x2
Au2 0.169 0.169 0.500 x8

The 12 most intense peaks (2θ = 10–80°), by angle:
| 2theta | d/Å | Rel. int. | (hkl) |
| --- | --- | --- | --- |
| 14.6 | 6.078 | 4.5 | 1 1 0 |
| 24.6 | 3.616 | 1.6 | 1 0 1 |
| 29.4 | 3.039 | 3.9 | 2 2 0 |
| 32.4 | 2.767 | 7.0 | 2 1 1 |
| 38.7 | 2.326 | 100.0 | 3 0 1 |
| 44.7 | 2.026 | 32.8 | 3 3 0 |
| 45.5 | 1.993 | 16.0 | 0 0 2 |
| 62.7 | 1.482 | 3.1 | 5 2 1 |
| 65.1 | 1.433 | 10.5 | 6 0 0 |
| 65.7 | 1.421 | 20.9 | 3 3 2 |
| 78.4 | 1.220 | 24.8 | 6 3 1 |
| 79.5 | 1.205 | 12.6 | 3 0 3 |

---

Record 6
Na3B5C: theoretical powder diffraction line list (Cu Kα (weighted mean of Kα1 and Kα2)), based on DFT lattice parameters and positions (GGA-PBE).
No peak broadening, texture or thermal motion is included.

a = 15.642 Å, b = 2.894 Å, c = 10.089 Å
α = 90.00°, β = 121.06°, γ = 90.00°
Space group Cm (No. 8)
Unique sites:
Na1 0.000 0.000 0.000 x2
Na2 0.000 0.500 0.497 x2
Na3 0.165 0.000 0.496 x2
Na4 0.166 0.500 0.996 x2
Na5 0.331 0.500 0.494 x2
Na6 0.333 0.000 0.998 x2
B1 0.029 0.500 0.247 x2
B2 0.032 0.000 0.746 x2
B3 0.136 0.500 0.248 x2
B4 0.146 0.000 0.747 x2
B5 0.196 0.000 0.246 x2
B6 0.303 0.000 0.245 x2
B7 0.303 0.500 0.747 x2
B8 0.362 0.500 0.246 x2
B9 0.458 0.000 0.746 x2
B10 0.470 0.500 0.247 x2
C1 0.199 0.500 0.747 x2
C2 0.357 0.000 0.746 x2

The 12 most intense peaks (2θ = 10–80°), by angle:
| 2theta | d/Å | Rel. int. | (hkl) |
| --- | --- | --- | --- |
| 34.4 | 2.607 | 11.8 | 6 0 -2 |
| 35.5 | 2.530 | 17.6 | 3 1 -1 |
| 40.4 | 2.232 | 48.6 | 6 0 0 |
| 41.3 | 2.183 | 100.0 | 3 1 1 |
| 41.8 | 2.161 | 36.2 | 0 0 4 |
| 56.0 | 1.643 | 9.8 | 3 1 3 |
| 62.3 | 1.490 | 17.7 | 9 1 -3 |
| 64.4 | 1.447 | 8.2 | 0 2 0 |
| 76.0 | 1.252 | 12.7 | 3 1 5 |
| 77.9 | 1.227 | 17.0 | 9 1 1 |
| 78.8 | 1.214 | 10.2 | 6 2 0 |
| 79.8 | 1.202 | 8.2 | 0 2 4 |